# 1
Calculated XRD peak list of Mg14VZn for a wavelength of 1.5418 Å, from a structure optimized by DFT (PBE).

Main lines, in order of rising 2θ (10° ≤ 2θ ≤ 80°):
- 2θ = 16.31°, rel. 5
- 2θ = 17.44°, rel. 3
- 2θ = 18.51°, rel. 7
- 2θ = 32.98°, rel. 25
- 2θ = 34.17°, rel. 3
- 2θ = 35.30°, rel. 26
- 2θ = 37.54°, rel. 100
- 2θ = 49.08°, rel. 16
- 2θ = 58.89°, rel. 17
- 2θ = 64.83°, rel. 18
- 2θ = 70.56°, rel. 18
- 2θ = 71.97°, rel. 13

Structural model:
a = 10.171 Å, b = 6.274 Å, c = 6.274 Å
α = 59.97°, β = 90.00°, γ = 90.00°
Fractional positions:
Mg 0.000 0.000 0.000
Mg 0.000 0.001 0.501
Mg 0.000 0.500 0.500
Mg 0.000 0.501 0.001
Mg 0.253 0.165 0.165
Mg 0.253 0.666 0.666
Mg 0.260 0.169 0.671
Mg 0.260 0.671 0.169
Mg 0.500 0.003 0.497
Mg 0.500 0.497 0.003
Mg 0.740 0.169 0.671
Mg 0.740 0.671 0.169
Mg 0.747 0.165 0.165
Mg 0.747 0.666 0.666
V 0.500 0.001 0.001
Zn 0.500 0.499 0.499


# 2
Calculated XRD peak list of LiSmIn2 for a wavelength of 1.5418 Å, from a structure optimized by DFT (PBE).

Main lines, in order of rising 2θ (10° ≤ 2θ ≤ 80°):
- 2θ = 20.90°, rel. 32
- 2θ = 24.18°, rel. 5
- 2θ = 34.46°, rel. 100
- 2θ = 40.65°, rel. 18
- 2θ = 42.55°, rel. 1
- 2θ = 49.54°, rel. 18
- 2θ = 54.33°, rel. 8
- 2θ = 55.86°, rel. 2
- 2θ = 61.74°, rel. 36
- 2θ = 65.94°, rel. 6
- 2θ = 72.67°, rel. 11
- 2θ = 76.58°, rel. 5

Structural model:
a = 7.361 Å, b = 7.361 Å, c = 7.361 Å
α = 90.00°, β = 90.00°, γ = 90.00°
Fractional positions:
Li 0.000 0.000 0.000
Li 0.000 0.500 0.500
Li 0.500 0.000 0.500
Li 0.500 0.500 0.000
Sm 0.000 0.000 0.500
Sm 0.000 0.500 0.000
Sm 0.500 0.000 0.000
Sm 0.500 0.500 0.500
In 0.250 0.250 0.250
In 0.250 0.250 0.750
In 0.250 0.750 0.250
In 0.250 0.750 0.750
In 0.750 0.250 0.250
In 0.750 0.250 0.750
In 0.750 0.750 0.250
In 0.750 0.750 0.750


# 3
Calculated XRD peak list of SrMg14BiO16 for a wavelength of 1.5418 Å, from a structure optimized by DFT (PBE).

Main lines, in order of rising 2θ (10° ≤ 2θ ≤ 80°):
- 2θ = 10.05°, rel. 100
- 2θ = 22.03°, rel. 54
- 2θ = 22.20°, rel. 43
- 2θ = 29.77°, rel. 52
- 2θ = 34.72°, rel. 78
- 2θ = 39.76°, rel. 74
- 2θ = 40.11°, rel. 72
- 2θ = 41.03°, rel. 74
- 2θ = 57.76°, rel. 45
- 2θ = 58.45°, rel. 41
- 2θ = 58.73°, rel. 46
- 2θ = 73.26°, rel. 39

Structural model:
a = 4.534 Å, b = 8.801 Å, c = 8.991 Å
α = 90.00°, β = 90.00°, γ = 90.00°
Fractional positions:
Sr 0.000 0.000 0.000
Mg 0.000 0.264 0.247
Mg 0.000 0.264 0.753
Mg 0.000 0.500 0.000
Mg 0.000 0.500 0.500
Mg 0.000 0.736 0.247
Mg 0.000 0.736 0.753
Mg 0.500 0.000 0.245
Mg 0.500 0.000 0.755
Mg 0.500 0.262 0.000
Mg 0.500 0.264 0.500
Mg 0.500 0.500 0.249
Mg 0.500 0.500 0.751
Mg 0.500 0.736 0.500
Mg 0.500 0.738 0.000
Bi 0.000 0.000 0.500
O 0.000 0.000 0.251
O 0.000 0.000 0.749
O 0.000 0.271 0.500
O 0.000 0.273 0.000
O 0.000 0.500 0.252
O 0.000 0.500 0.748
O 0.000 0.727 0.000
O 0.000 0.729 0.500
O 0.500 0.000 0.000
O 0.500 0.000 0.500
O 0.500 0.250 0.251
O 0.500 0.250 0.749
O 0.500 0.500 0.000
O 0.500 0.500 0.500
O 0.500 0.750 0.251
O 0.500 0.750 0.749


# 4
Calculated XRD peak list of BaGe3 for a wavelength of 1.5418 Å, from a structure optimized by DFT (PBE).

Main lines, in order of rising 2θ (10° ≤ 2θ ≤ 80°):
- 2θ = 26.38°, rel. 54
- 2θ = 31.95°, rel. 88
- 2θ = 32.71°, rel. 59
- 2θ = 34.66°, rel. 100
- 2θ = 34.90°, rel. 26
- 2θ = 35.84°, rel. 40
- 2θ = 36.54°, rel. 27
- 2θ = 48.75°, rel. 17
- 2θ = 53.63°, rel. 26
- 2θ = 54.81°, rel. 27
- 2θ = 56.30°, rel. 38
- 2θ = 66.78°, rel. 16

Structural model:
a = 8.557 Å, b = 8.557 Å, c = 8.557 Å
α = 124.82°, β = 124.82°, γ = 81.83°
Fractional positions:
Ba 0.174 0.174 0.000
Ba 0.250 0.750 0.500
Ba 0.750 0.250 0.500
Ba 0.826 0.826 0.000
Ge 0.000 0.340 0.340
Ge 0.000 0.660 0.660
Ge 0.220 0.220 0.637
Ge 0.220 0.584 0.000
Ge 0.340 0.000 0.340
Ge 0.416 0.416 0.637
Ge 0.416 0.780 0.000
Ge 0.584 0.220 0.000
Ge 0.584 0.584 0.363
Ge 0.660 0.000 0.660
Ge 0.780 0.416 0.000
Ge 0.780 0.780 0.363


# 5
Calculated XRD peak list of UTl2Te2O8 for a wavelength of 1.5418 Å, from a structure optimized by DFT (PBE).

Main lines, in order of rising 2θ (10° ≤ 2θ ≤ 80°):
- 2θ = 15.89°, rel. 24
- 2θ = 24.34°, rel. 99
- 2θ = 24.78°, rel. 100
- 2θ = 28.19°, rel. 85
- 2θ = 28.43°, rel. 33
- 2θ = 28.58°, rel. 75
- 2θ = 29.45°, rel. 79
- 2θ = 30.60°, rel. 52
- 2θ = 32.10°, rel. 34
- 2θ = 40.01°, rel. 22
- 2θ = 52.64°, rel. 44
- 2θ = 53.38°, rel. 23

Structural model:
a = 7.591 Å, b = 8.188 Å, c = 9.146 Å
α = 92.90°, β = 107.95°, γ = 108.53°
Fractional positions:
U 0.112 0.440 0.214
U 0.888 0.560 0.786
Tl 0.032 0.918 0.186
Tl 0.297 0.925 0.596
Tl 0.703 0.075 0.404
Tl 0.968 0.082 0.814
Te 0.337 0.402 0.632
Te 0.395 0.789 0.988
Te 0.605 0.211 0.012
Te 0.663 0.598 0.368
O 0.008 0.582 0.301
O 0.164 0.287 0.429
O 0.172 0.639 0.049
O 0.182 0.794 0.810
O 0.217 0.305 0.123
O 0.293 0.210 0.738
O 0.417 0.608 0.381
O 0.422 0.995 0.114
O 0.578 0.005 0.886
O 0.583 0.392 0.619
O 0.707 0.790 0.262
O 0.783 0.695 0.877
O 0.818 0.206 0.190
O 0.828 0.361 0.951
O 0.836 0.713 0.571
O 0.992 0.418 0.699


# 6
Calculated XRD peak list of Ho12Co5Bi for a wavelength of 1.5418 Å, from a structure optimized by DFT (PBE).

Main lines, in order of rising 2θ (10° ≤ 2θ ≤ 80°):
- 2θ = 28.78°, rel. 23
- 2θ = 29.94°, rel. 28
- 2θ = 30.09°, rel. 34
- 2θ = 32.51°, rel. 100
- 2θ = 34.66°, rel. 51
- 2θ = 35.28°, rel. 50
- 2θ = 35.65°, rel. 41
- 2θ = 38.34°, rel. 27
- 2θ = 55.04°, rel. 21
- 2θ = 58.74°, rel. 16
- 2θ = 60.06°, rel. 18
- 2θ = 60.48°, rel. 27

Structural model:
a = 8.270 Å, b = 8.270 Å, c = 8.270 Å
α = 110.82°, β = 110.80°, γ = 106.83°
Fractional positions:
Ho 0.014 0.210 0.804
Ho 0.182 0.285 0.467
Ho 0.182 0.715 0.897
Ho 0.312 0.004 0.692
Ho 0.312 0.619 0.308
Ho 0.407 0.210 0.196
Ho 0.593 0.790 0.804
Ho 0.688 0.381 0.692
Ho 0.688 0.996 0.308
Ho 0.818 0.285 0.103
Ho 0.818 0.715 0.533
Ho 0.986 0.790 0.196
Co 0.000 0.000 0.000
Co 0.112 0.612 0.500
Co 0.375 0.000 0.375
Co 0.625 0.000 0.625
Co 0.888 0.388 0.500
Bi 0.500 0.500 0.000


# 7
Calculated XRD peak list of Ba2CePrO6 for a wavelength of 1.5418 Å, from a structure optimized by DFT (PBE).

Main lines, in order of rising 2θ (10° ≤ 2θ ≤ 80°):
- 2θ = 19.69°, rel. 1
- 2θ = 27.99°, rel. 100
- 2θ = 34.46°, rel. 1
- 2θ = 40.00°, rel. 28
- 2θ = 49.53°, rel. 45
- 2θ = 57.85°, rel. 17
- 2θ = 65.48°, rel. 19
- 2θ = 72.66°, rel. 6
- 2θ = 79.56°, rel. 23

Structural model:
a = 9.016 Å, b = 9.016 Å, c = 9.016 Å
α = 90.00°, β = 90.00°, γ = 90.00°
Fractional positions:
Ba 0.250 0.250 0.250
Ba 0.250 0.250 0.750
Ba 0.250 0.750 0.250
Ba 0.250 0.750 0.750
Ba 0.750 0.250 0.250
Ba 0.750 0.250 0.750
Ba 0.750 0.750 0.250
Ba 0.750 0.750 0.750
Ce 0.000 0.000 0.000
Ce 0.000 0.500 0.500
Ce 0.500 0.000 0.500
Ce 0.500 0.500 0.000
Pr 0.000 0.000 0.500
Pr 0.000 0.500 0.000
Pr 0.500 0.000 0.000
Pr 0.500 0.500 0.500
O 0.031 0.536 0.743
O 0.031 0.964 0.757
O 0.036 0.243 0.969
O 0.036 0.257 0.531
O 0.243 0.531 0.464
O 0.243 0.969 0.036
O 0.257 0.531 0.036
O 0.257 0.969 0.464
O 0.464 0.243 0.531
O 0.464 0.257 0.969
O 0.469 0.536 0.757
O 0.469 0.964 0.743
O 0.531 0.036 0.257
O 0.531 0.464 0.243
O 0.536 0.743 0.031
O 0.536 0.757 0.469
O 0.743 0.031 0.536
O 0.743 0.469 0.964
O 0.757 0.031 0.964
O 0.757 0.469 0.536
O 0.964 0.743 0.469
O 0.964 0.757 0.031
O 0.969 0.036 0.243
O 0.969 0.464 0.257


# 8
Calculated XRD peak list of Cs2TlSbCl6 for a wavelength of 1.5418 Å, from a structure optimized by DFT (PBE).

Main lines, in order of rising 2θ (10° ≤ 2θ ≤ 80°):
- 2θ = 15.47°, rel. 8
- 2θ = 21.95°, rel. 100
- 2θ = 31.24°, rel. 50
- 2θ = 38.50°, rel. 47
- 2θ = 44.76°, rel. 35
- 2θ = 50.39°, rel. 23
- 2θ = 55.59°, rel. 12
- 2θ = 60.49°, rel. 27
- 2θ = 65.16°, rel. 5
- 2θ = 69.66°, rel. 13
- 2θ = 74.03°, rel. 15
- 2θ = 78.31°, rel. 7

Structural model:
a = 8.099 Å, b = 8.099 Å, c = 8.099 Å
α = 60.00°, β = 60.00°, γ = 60.00°
Fractional positions:
Cs 0.250 0.250 0.250
Cs 0.750 0.750 0.750
Tl 0.000 0.000 0.000
Sb 0.500 0.500 0.500
Cl 0.267 0.267 0.733
Cl 0.267 0.733 0.267
Cl 0.267 0.733 0.733
Cl 0.733 0.267 0.267
Cl 0.733 0.267 0.733
Cl 0.733 0.733 0.267